Starting from a GGA+U-relaxed structure, the X-ray diffraction stick pattern of Nd2CoTcO8 was calculated for Cu Kα.
Kinematic intensities with the Lorentz-polarization factor, no thermal factor.

Crystal structure
```
data_Nd2CoTcO8
_chemical_formula_sum 'Nd2 Co1 Tc1 O8'
_cell_length_a 4.2853
_cell_length_b 5.3370
_cell_length_c 6.9062
_cell_angle_alpha 81.99
_cell_angle_beta 85.90
_cell_angle_gamma 82.76
_symmetry_space_group_name_H-M 'P -1'
_symmetry_Int_Tables_number 2
loop_
_symmetry_equiv_pos_as_xyz
'x,y,z'
'-x,-y,-z'
loop_
_atom_site_label
_atom_site_fract_x
_atom_site_fract_y
_atom_site_fract_z
Nd1 0.1870 0.0221 0.2375
Co1 0.5000 0.5000 0.0000
Tc1 0.5000 0.5000 0.5000
O1 0.1880 0.7658 0.5474
O2 0.2863 0.2576 0.6524
O3 0.2929 0.8210 0.9485
O4 0.3027 0.4560 0.2524
```

Most intense lines, 2θ from 10° to 90°, in order of rising 2θ:
(hkl)  2theta  intensity
1 0 1  24.07  37
1 0 -1  25.35  100
1 1 1  26.98  41
1 -1 0  28.56  44
0 1 2  29.27  88
1 0 2  32.75  37
0 1 -2  33.13  43
0 2 0  34.16  50